No. 1
# ErPaBeO6
Calculated XRD peak list, Cu Kα X-rays. Input: a DFT-relaxed cell (GGA-PBE, Alexandria).
Lines closer than 0.1° are merged.

The 10 most intense peaks (5° ≤ 2θ ≤ 70°), by angle:
2θ = 19.69°, I = 31
2θ = 27.14°, I = 100
2θ = 34.46°, I = 29
2θ = 40.00°, I = 7
2θ = 42.68°, I = 11
2θ = 44.40°, I = 28
2θ = 51.82°, I = 28
2θ = 57.39°, I = 26
2θ = 61.49°, I = 11
2θ = 61.73°, I = 9

Structure:
abc: 5.2052 5.2052 4.8003
angles: 90.00 90.00 120.00
Sites, in units of the cell vectors:
Er 0.0000 0.0000 0.0000
Pa 0.6667 0.3333 0.5000
Be 0.3333 0.6667 0.0000
O 0.0257 0.3837 0.2287
O 0.0257 0.6420 0.7713
O 0.3580 0.3837 0.7713
O 0.3580 0.9743 0.2287
O 0.6163 0.6420 0.2287
O 0.6163 0.9743 0.7713

***

No. 2
# NdSmTe2O
Calculated XRD peak list, Cu Kα X-rays. Input: a DFT-relaxed cell (GGA-PBE, Alexandria).
Lines closer than 0.1° are merged.

The 10 most intense peaks (5° ≤ 2θ ≤ 70°), by angle:
2θ = 21.65°, I = 17
2θ = 22.08°, I = 18
2θ = 26.78°, I = 45
2θ = 29.77°, I = 100
2θ = 34.97°, I = 65
2θ = 37.37°, I = 25
2θ = 42.60°, I = 42
2θ = 51.04°, I = 17
2θ = 56.26°, I = 33
2θ = 61.83°, I = 14

Structure:
abc: 4.2441 4.2441 16.1045
angles: 90.00 90.00 90.00
Sites, in units of the cell vectors:
Nd 0.2500 0.2500 0.0682
Nd 0.7500 0.7500 0.9318
Sm 0.2500 0.2500 0.6337
Sm 0.7500 0.7500 0.3663
Te 0.2500 0.2500 0.4167
Te 0.2500 0.2500 0.8148
Te 0.7500 0.7500 0.1852
Te 0.7500 0.7500 0.5833
O 0.2500 0.7500 0.0000
O 0.7500 0.2500 0.0000

***

No. 3
# Hf3BiP
Calculated XRD peak list, Cu Kα X-rays. Input: a DFT-relaxed cell (GGA-PBE, Alexandria).
Lines closer than 0.1° are merged.

The 10 most intense peaks (5° ≤ 2θ ≤ 70°), by angle:
2θ = 29.33°, I = 72
2θ = 33.06°, I = 100
2θ = 35.29°, I = 42
2θ = 36.20°, I = 27
2θ = 37.16°, I = 44
2θ = 37.42°, I = 28
2θ = 45.65°, I = 27
2θ = 58.73°, I = 34
2θ = 58.98°, I = 20
2θ = 66.09°, I = 26

Structure:
abc: 7.6666 7.6666 3.9748
angles: 90.00 90.00 103.84
Sites, in units of the cell vectors:
Hf 0.1784 0.4401 0.5000
Hf 0.1965 0.8035 0.0000
Hf 0.4401 0.1784 0.5000
Hf 0.5599 0.8216 0.5000
Hf 0.8035 0.1965 0.0000
Hf 0.8216 0.5599 0.5000
Bi 0.0000 0.0000 0.5000
Bi 0.5000 0.5000 0.0000
P 0.0000 0.5000 0.0000
P 0.5000 0.0000 0.0000

***

No. 4
# SrAcPa2O8
Calculated XRD peak list, Cu Kα X-rays. Input: a DFT-relaxed cell (GGA-PBE, Alexandria).
Lines closer than 0.1° are merged.

The 10 most intense peaks (5° ≤ 2θ ≤ 70°), by angle:
2θ = 17.61°, I = 11
2θ = 27.58°, I = 100
2θ = 31.54°, I = 24
2θ = 32.77°, I = 11
2θ = 45.21°, I = 18
2θ = 46.12°, I = 34
2θ = 53.78°, I = 33
2θ = 55.40°, I = 16
2θ = 56.95°, I = 10
2θ = 65.85°, I = 6

Structure:
abc: 6.7794 6.7794 6.7794
angles: 130.53 130.53 72.56
Sites, in units of the cell vectors:
Sr 0.0000 0.0000 0.0000
Ac 0.7500 0.2500 0.5000
Pa 0.2500 0.7500 0.5000
Pa 0.5000 0.5000 0.0000
O 0.1563 0.1258 0.5329
O 0.1563 0.6233 0.0304
O 0.3767 0.4071 0.5329
O 0.3767 0.8437 0.9696
O 0.5929 0.1258 0.9696
O 0.5929 0.6233 0.4671
O 0.8742 0.4071 0.0304
O 0.8742 0.8437 0.4671